(1)
For LiTeO, a PBE-relaxed structure gives the simulated powder diffraction line list in this record (Cu Ka).

Top 6 peaks for 10° ≤ 2θ ≤ 90°, sorted by position:
| hkl | Position (°2θ) | d [Å] | intensity |
| --- | --- | --- | --- |
| 0 1 0 | 17.04 | 5.205 | 100.0 |
| 1 0 0 | 27.49 | 3.245 | 64.3 |
| 0 1 -2 | 29.30 | 3.048 | 38.9 |
| 0 0 2 | 30.21 | 2.958 | 33.9 |
| 1 1 0 | 36.93 | 2.434 | 40.5 |
| 0 3 -2 | 51.38 | 1.778 | 18.8 |

Atomic structure:
Cell: 3.415 5.782 6.280 Å, 108.57 90.35 107.16°
Space group P1 (No. 1)
Inequivalent atoms, fractional coordinates:
1 Li 0.000 0.000 0.000
2 Li 0.440 0.890 0.623
3 Te 0.809 0.445 0.310
4 Te 0.892 0.445 0.811
5 O 0.060 0.133 0.739
6 O 0.373 0.756 0.883

(2)
For CeMgGa2Au, a PBE-relaxed structure gives the simulated powder diffraction line list in this record (Cu Ka).

Top 6 peaks for 10° ≤ 2θ ≤ 90°, sorted by position:
| hkl | Position (°2θ) | d [Å] | intensity |
| --- | --- | --- | --- |
| 1 1 0 | 29.47 | 3.031 | 73.0 |
| 0 1 3 | 31.12 | 2.874 | 70.5 |
| 1 0 3 | 31.39 | 2.850 | 51.3 |
| 1 1 2 | 33.40 | 2.683 | 100.0 |
| 0 2 0 | 41.75 | 2.164 | 38.4 |
| 1 0 5 | 44.72 | 2.027 | 41.4 |

Atomic structure:
Cell: 4.247 4.327 11.532 Å, 90.00 90.00 90.00°
Space group Imm2 (No. 44)
Inequivalent atoms, fractional coordinates:
1 Ce 0.000 0.000 0.000
2 Mg 0.000 0.500 0.739
3 Ga 0.000 0.000 0.596
4 Ga 0.000 0.500 0.237
5 Au 0.000 0.000 0.376

(3)
For Ca2ReN, a PBE-relaxed structure gives the simulated powder diffraction line list in this record (Cu Ka).

Top 6 peaks for 10° ≤ 2θ ≤ 90°, sorted by position:
| hkl | Position (°2θ) | d [Å] | intensity |
| --- | --- | --- | --- |
| 2 0 0 | 17.88 | 4.960 | 100.0 |
| 2 2 0 | 25.39 | 3.508 | 26.0 |
| 2 1 1 | 30.83 | 2.901 | 83.2 |
| 4 0 0 | 36.22 | 2.480 | 28.0 |
| 3 2 1 | 40.35 | 2.235 | 28.4 |
| 4 2 0 | 40.67 | 2.218 | 39.8 |

Atomic structure:
Cell: 9.921 9.921 3.833 Å, 90.00 90.00 90.00°
Space group I-42d (No. 122)
Inequivalent atoms, fractional coordinates:
1 Ca 0.069 0.250 0.125
2 Re 0.000 0.000 0.500
3 N 0.000 0.000 0.000

(4)
For TbSm3Th4S8, a PBE-relaxed structure gives the simulated powder diffraction line list in this record (Cu Ka).

Top 6 peaks for 10° ≤ 2θ ≤ 90°, sorted by position:
| hkl | Position (°2θ) | d [Å] | intensity |
| --- | --- | --- | --- |
| 0 0 6 | 26.56 | 3.356 | 24.6 |
| 2 0 2 | 27.44 | 3.250 | 68.1 |
| 0 2 4 | 31.54 | 2.837 | 100.0 |
| 2 0 8 | 44.64 | 2.030 | 38.1 |
| 2 2 0 | 45.76 | 1.983 | 35.5 |
| 2 2 6 | 53.69 | 1.707 | 23.1 |

Atomic structure:
Cell: 7.9312 7.9312 20.1342 Å, 90.00 90.00 120.00°
Space group R-3m (No. 166, hexagonal axes)
Inequivalent atoms, fractional coordinates:
1 Tb 0.0000 0.0000 0.0000
2 Sm 0.0000 0.5000 0.0000
3 Th 0.0000 0.0000 0.5000
4 Th 0.0000 0.5000 0.5000
5 S 0.0000 0.0000 0.2521
6 S 0.0034 0.5017 0.7471

(5)
For PrSmIn4, a PBE-relaxed structure gives the simulated powder diffraction line list in this record (Cu Ka).

Top 6 peaks for 10° ≤ 2θ ≤ 90°, sorted by position:
| hkl | Position (°2θ) | d [Å] | intensity |
| --- | --- | --- | --- |
| 1 1 3 | 32.75 | 2.735 | 100.0 |
| 0 2 0 | 33.71 | 2.658 | 23.7 |
| 2 0 0 | 35.59 | 2.523 | 20.5 |
| 2 2 0 | 49.83 | 1.830 | 15.5 |
| 1 3 3 | 59.69 | 1.549 | 17.3 |
| 3 1 3 | 62.13 | 1.494 | 15.3 |

Atomic structure:
Cell: 5.045 5.317 12.347 Å, 90.00 90.00 90.00°
Space group Cmmm (No. 65)
Inequivalent atoms, fractional coordinates:
1 Pr 0.000 0.000 0.000
2 Sm 0.000 0.500 0.500
3 In 0.000 0.000 0.326
4 In 0.000 0.500 0.181

(6)
For Fe7Co, a PBE-relaxed structure gives the simulated powder diffraction line list in this record (Cu Ka).

Top 6 peaks for 10° ≤ 2θ ≤ 90°, sorted by position:
| hkl | Position (°2θ) | d [Å] | intensity |
| --- | --- | --- | --- |
| 4 0 0 | 44.98 | 2.015 | 50.5 |
| 1 1 2 | 45.12 | 2.009 | 100.0 |
| 4 2 0 | 65.50 | 1.425 | 14.8 |
| 2 0 -4 | 65.94 | 1.417 | 7.2 |
| 5 1 2 | 83.09 | 1.162 | 28.7 |
| 2 0 4 | 83.40 | 1.159 | 14.2 |

Atomic structure:
Cell: 8.543 4.031 5.666 Å, 90.00 109.34 90.00°
Space group C2/m (No. 12)
Inequivalent atoms, fractional coordinates:
1 Fe 0.000 0.000 0.000
2 Fe 0.000 0.500 0.251
3 Fe 0.248 0.000 0.375
4 Fe 0.249 0.000 0.874
5 Co 0.000 0.000 0.500

(7)
For Nd4GaNi, a PBE-relaxed structure gives the simulated powder diffraction line list in this record (Cu Ka).

Top 6 peaks for 10° ≤ 2θ ≤ 90°, sorted by position:
| hkl | Position (°2θ) | d [Å] | intensity |
| --- | --- | --- | --- |
| 0 1 2 | 26.13 | 3.411 | 34.2 |
| 1 2 0 | 29.71 | 3.007 | 99.1 |
| 2 0 -2 | 31.23 | 2.864 | 40.6 |
| 1 0 2 | 31.41 | 2.848 | 46.3 |
| 1 1 2 | 34.00 | 2.637 | 29.4 |
| 0 2 2 | 34.44 | 2.604 | 100.0 |

Atomic structure:
Cell: 6.279 6.982 8.284 Å, 90.00 109.59 90.00°
Space group P2_1/m (No. 11)
Inequivalent atoms, fractional coordinates:
1 Nd 0.014 0.002 0.229
2 Nd 0.414 0.250 0.623
3 Nd 0.436 0.250 0.088
4 Ga 0.214 0.750 0.555
5 Ni 0.226 0.750 0.057

(8)
For ErCuPt6, a PBE-relaxed structure gives the simulated powder diffraction line list in this record (Cu Ka).

Top 6 peaks for 10° ≤ 2θ ≤ 90°, sorted by position:
| hkl | Position (°2θ) | d [Å] | intensity |
| --- | --- | --- | --- |
| 1 1 2 | 38.91 | 2.315 | 100.0 |
| 2 0 0 | 45.11 | 2.010 | 33.7 |
| 0 0 4 | 45.49 | 1.994 | 15.3 |
| 2 2 0 | 65.70 | 1.421 | 11.1 |
| 2 0 4 | 66.00 | 1.416 | 20.3 |
| 3 1 2 | 79.06 | 1.211 | 25.9 |

Atomic structure:
Cell: 4.020 4.020 7.975 Å, 90.00 90.00 90.00°
Space group P4/mmm (No. 123)
Inequivalent atoms, fractional coordinates:
1 Er 0.000 0.000 0.000
2 Cu 0.000 0.000 0.500
3 Pt 0.000 0.500 0.264
4 Pt 0.500 0.500 0.000
5 Pt 0.500 0.500 0.500